# Tm3Sc5Sn2
Calculated powder diffractogram, Cu Kα X-rays. Input: DFT lattice parameters and positions (GGA-PBE).
Kinematic intensities with the Lorentz-polarization factor, no thermal factor.

Atomic structure:
```
data_Tm3Sc5Sn2
_chemical_formula_sum 'Tm6 Sc10 Sn4'
_cell_length_a 9.990
_cell_length_b 9.990
_cell_length_c 9.990
_cell_angle_alpha 106.30
_cell_angle_beta 84.38
_cell_angle_gamma 144.81
_space_group_name_H-M_alt 'P 1'
_space_group_IT_number 1
loop_
_space_group_symop_operation_xyz
'x,y,z'
loop_
_atom_site_label
_atom_site_fract_x
_atom_site_fract_y
_atom_site_fract_z
Tm1 0.223 0.117 0.341
Tm2 0.250 0.250 0.000
Tm3 0.277 0.617 0.894
Tm4 0.723 0.383 0.106
Tm5 0.750 0.750 0.000
Tm6 0.777 0.883 0.659
Sc1 0.160 0.391 0.551
Sc2 0.250 0.508 0.258
Sc3 0.250 0.750 0.500
Sc4 0.250 0.992 0.742
Sc5 0.340 0.891 0.231
Sc6 0.660 0.109 0.769
Sc7 0.750 0.008 0.258
Sc8 0.750 0.250 0.500
Sc9 0.750 0.492 0.742
Sc10 0.840 0.609 0.449
Sn1 0.150 0.851 0.001
Sn2 0.350 0.351 0.700
Sn3 0.650 0.649 0.300
Sn4 0.850 0.149 0.999
```

Main lines, sorted by position (2θ = 10–80°):
2theta, d (Å), I/Imax
24.05, 3.701, 19.1
27.69, 3.222, 75.0
28.76, 3.105, 40.7
32.00, 2.796, 100.0
32.24, 2.777, 91.7
35.65, 2.519, 26.2
36.99, 2.430, 73.0
42.50, 2.127, 70.3
57.44, 1.604, 20.4
71.05, 1.327, 23.2

=====

# Sc2Zn3Sn3
Calculated powder diffractogram, Cu Kα X-rays. Input: DFT lattice parameters and positions (GGA-PBE).
Kinematic intensities with the Lorentz-polarization factor, no thermal factor.

Atomic structure:
```
data_Sc2Zn3Sn3
_chemical_formula_sum 'Sc2 Zn3 Sn3'
_cell_length_a 4.352
_cell_length_b 4.422
_cell_length_c 8.392
_cell_angle_alpha 90.00
_cell_angle_beta 90.00
_cell_angle_gamma 90.00
_space_group_name_H-M_alt 'P 1'
_space_group_IT_number 1
loop_
_space_group_symop_operation_xyz
'x,y,z'
loop_
_atom_site_label
_atom_site_fract_x
_atom_site_fract_y
_atom_site_fract_z
Sc1 0.000 0.000 0.248
Sc2 0.000 0.000 0.752
Zn1 0.000 0.500 0.000
Zn2 0.500 0.500 0.232
Zn3 0.500 0.500 0.768
Sn1 0.000 0.500 0.500
Sn2 0.500 0.000 0.000
Sn3 0.500 0.000 0.500
```

Main lines, sorted by position (2θ = 10–80°):
2theta, d (Å), I/Imax
36.01, 2.494, 100.0
40.82, 2.211, 17.8
41.50, 2.176, 17.0
43.12, 2.098, 14.5
59.62, 1.551, 11.5
60.87, 1.522, 10.3
71.18, 1.325, 13.4
72.13, 1.309, 12.9
74.40, 1.275, 10.8
76.37, 1.247, 10.7

=====

# Sc8ZnSn2
Calculated powder diffractogram, Cu Kα X-rays. Input: DFT lattice parameters and positions (GGA-PBE).
Kinematic intensities with the Lorentz-polarization factor, no thermal factor.

Atomic structure:
```
data_Sc8ZnSn2
_chemical_formula_sum 'Sc8 Zn1 Sn2'
_cell_length_a 9.225
_cell_length_b 9.225
_cell_length_c 6.242
_cell_angle_alpha 105.53
_cell_angle_beta 105.53
_cell_angle_gamma 29.89
_space_group_name_H-M_alt 'P 1'
_space_group_IT_number 1
loop_
_space_group_symop_operation_xyz
'x,y,z'
loop_
_atom_site_label
_atom_site_fract_x
_atom_site_fract_y
_atom_site_fract_z
Sc1 0.017 0.017 0.276
Sc2 0.214 0.214 0.809
Sc3 0.349 0.349 0.508
Sc4 0.409 0.409 0.033
Sc5 0.591 0.591 0.967
Sc6 0.651 0.651 0.492
Sc7 0.786 0.786 0.191
Sc8 0.983 0.983 0.724
Zn1 0.500 0.500 0.500
Sn1 0.179 0.179 0.246
Sn2 0.821 0.821 0.754
```

Main lines, sorted by position (2θ = 10–80°):
2theta, d (Å), I/Imax
20.30, 4.376, 46.8
23.54, 3.780, 57.1
31.34, 2.855, 44.9
32.20, 2.780, 90.5
34.50, 2.599, 100.0
35.18, 2.551, 46.8
37.01, 2.429, 80.1
37.82, 2.379, 99.0
38.91, 2.315, 55.0
40.47, 2.229, 76.0

=====

# Zr2Sc3Sn
Calculated powder diffractogram, Cu Kα X-rays. Input: DFT lattice parameters and positions (GGA-PBE).
Kinematic intensities with the Lorentz-polarization factor, no thermal factor.

Atomic structure:
```
data_Zr2Sc3Sn
_chemical_formula_sum 'Zr4 Sc6 Sn2'
_cell_length_a 8.488
_cell_length_b 8.488
_cell_length_c 5.814
_cell_angle_alpha 90.00
_cell_angle_beta 90.00
_cell_angle_gamma 137.51
_space_group_name_H-M_alt 'P 1'
_space_group_IT_number 1
loop_
_space_group_symop_operation_xyz
'x,y,z'
loop_
_atom_site_label
_atom_site_fract_x
_atom_site_fract_y
_atom_site_fract_z
Zr1 0.246 0.246 0.000
Zr2 0.246 0.246 0.500
Zr3 0.754 0.754 0.000
Zr4 0.754 0.754 0.500
Sc1 0.075 0.423 0.750
Sc2 0.148 0.852 0.750
Sc3 0.423 0.075 0.250
Sc4 0.577 0.925 0.750
Sc5 0.852 0.148 0.250
Sc6 0.925 0.577 0.250
Sn1 0.350 0.650 0.250
Sn2 0.650 0.350 0.750
```

Main lines, sorted by position (2θ = 10–80°):
2theta, d (Å), I/Imax
11.18, 7.911, 49.0
31.20, 2.867, 42.9
32.82, 2.729, 91.9
34.00, 2.637, 82.1
34.90, 2.571, 100.0
37.02, 2.428, 67.6
38.43, 2.342, 87.9
40.25, 2.241, 40.2
42.80, 2.113, 36.7
44.38, 2.041, 32.3

=====

# ZrScSn2
Calculated powder diffractogram, Cu Kα X-rays. Input: DFT lattice parameters and positions (GGA-PBE).
Kinematic intensities with the Lorentz-polarization factor, no thermal factor.

Atomic structure:
```
data_ZrScSn2
_chemical_formula_sum 'Zr4 Sc4 Sn8'
_cell_length_a 5.892
_cell_length_b 5.900
_cell_length_c 11.251
_cell_angle_alpha 90.00
_cell_angle_beta 105.36
_cell_angle_gamma 90.00
_space_group_name_H-M_alt 'P 1'
_space_group_IT_number 1
loop_
_space_group_symop_operation_xyz
'x,y,z'
loop_
_atom_site_label
_atom_site_fract_x
_atom_site_fract_y
_atom_site_fract_z
Zr1 0.183 0.120 0.128
Zr2 0.183 0.880 0.628
Zr3 0.817 0.120 0.372
Zr4 0.817 0.880 0.872
Sc1 0.304 0.371 0.870
Sc2 0.304 0.629 0.370
Sc3 0.696 0.371 0.630
Sc4 0.696 0.629 0.130
Sn1 0.179 0.378 0.600
Sn2 0.179 0.622 0.100
Sn3 0.329 0.128 0.399
Sn4 0.329 0.872 0.899
Sn5 0.671 0.128 0.101
Sn6 0.671 0.872 0.601
Sn7 0.821 0.378 0.900
Sn8 0.821 0.622 0.400
```

Main lines, sorted by position (2θ = 10–80°):
2theta, d (Å), I/Imax
24.65, 3.612, 19.0
31.45, 2.845, 100.0
33.02, 2.712, 42.1
39.41, 2.286, 70.0
39.51, 2.281, 23.6
43.41, 2.084, 50.1
55.54, 1.655, 18.9
55.67, 1.651, 18.7
63.01, 1.475, 14.1
76.95, 1.239, 20.0

=====

# SrZrScTc2
Calculated powder diffractogram, Cu Kα X-rays. Input: DFT lattice parameters and positions (GGA-PBE).
Kinematic intensities with the Lorentz-polarization factor, no thermal factor.

Atomic structure:
```
data_SrZrScTc2
_chemical_formula_sum 'Sr1 Zr1 Sc1 Tc2'
_cell_length_a 4.865
_cell_length_b 4.865
_cell_length_c 5.104
_cell_angle_alpha 90.00
_cell_angle_beta 90.00
_cell_angle_gamma 90.00
_space_group_name_H-M_alt 'P 1'
_space_group_IT_number 1
loop_
_space_group_symop_operation_xyz
'x,y,z'
loop_
_atom_site_label
_atom_site_fract_x
_atom_site_fract_y
_atom_site_fract_z
Sr1 0.000 0.000 0.000
Zr1 0.500 0.500 0.000
Sc1 0.500 0.500 0.500
Tc1 0.000 0.500 0.500
Tc2 0.500 0.000 0.500
```

Main lines, sorted by position (2θ = 10–80°):
2theta, d (Å), I/Imax
18.24, 4.865, 4.7
31.36, 2.853, 100.0
35.17, 2.552, 29.3
36.95, 2.432, 51.0
51.93, 1.761, 37.2
53.26, 1.720, 17.2
60.73, 1.525, 14.7
63.12, 1.473, 26.2
65.44, 1.426, 18.2
78.67, 1.216, 5.3